Computed powder XRD pattern of Tb2Er2Tl5 for Cu Kα, 1.54184 Å, from a crystal structure in Alexandria, relaxed with PBE.

Top 10 peaks for 2θ = 10–80°, sorted by position:
- 2θ 28.09, d = 3.177 Å, I = 61, hkl 4 1 1
- 2θ 31.18, d = 2.869 Å, I = 100, hkl 0 2 2
- 2θ 31.92, d = 2.804 Å, I = 42, hkl 5 1 0
- 2θ 32.10, d = 2.789 Å, I = 15, hkl 3 2 1
- 2θ 32.49, d = 2.756 Å, I = 23, hkl 2 1 3
- 2θ 33.37, d = 2.685 Å, I = 18, hkl 2 2 2
- 2θ 36.87, d = 2.438 Å, I = 22, hkl 0 0 4
- 2θ 36.99, d = 2.430 Å, I = 72, hkl 5 1 2
- 2θ 38.78, d = 2.322 Å, I = 23, hkl 2 0 4
- 2θ 41.00, d = 2.201 Å, I = 22, hkl 2 3 1

Structure:
```
data_Tb2Er2Tl5
_chemical_formula_sum 'Tb8 Er8 Tl20'
_cell_length_a 15.2603
_cell_length_b 7.0967
_cell_length_c 9.7502
_cell_angle_alpha 90.00
_cell_angle_beta 90.00
_cell_angle_gamma 90.00
_space_group_name_H-M_alt 'I m a 2'
_space_group_IT_number 46
_space_group_name_Hall 'I 2 -2a'
loop_
_atom_site_label
_atom_site_type_symbol
_atom_site_fract_x
_atom_site_fract_y
_atom_site_fract_z
Tb1 Tb 0.1304 0.0388 0.0000
Er1 Er 0.0000 0.0000 0.4355
Er2 Er 0.2500 0.5243 0.0550
Tl1 Tl 0.0477 0.1934 0.7148
Tl2 Tl 0.1501 0.7155 0.7744
Tl3 Tl 0.2500 0.2061 0.2796
```

Computed powder XRD pattern of CdAg14Pt for Cu Kα, 1.54184 Å, from a crystal structure in Alexandria, relaxed with PBE.

Top 10 peaks for 2θ = 10–80°, sorted by position:
- 2θ 36.39, d = 2.469 Å, I = 24, hkl 1 0 4
- 2θ 36.68, d = 2.450 Å, I = 51, hkl 1 2 2
- 2θ 37.63, d = 2.391 Å, I = 57, hkl 4 0 0
- 2θ 40.01, d = 2.254 Å, I = 54, hkl 2 0 4
- 2θ 40.27, d = 2.240 Å, I = 100, hkl 2 2 2
- 2θ 45.73, d = 1.984 Å, I = 27, hkl 3 2 2
- 2θ 63.20, d = 1.471 Å, I = 23, hkl 0 2 6
- 2θ 69.69, d = 1.349 Å, I = 18, hkl 6 2 2
- 2θ 75.94, d = 1.253 Å, I = 27, hkl 4 2 6
- 2θ 77.99, d = 1.225 Å, I = 14, hkl 2 4 4

Structure:
```
data_CdAg14Pt
_chemical_formula_sum 'Cd2 Ag28 Pt2'
_cell_length_a 9.5625
_cell_length_b 5.8388
_cell_length_c 10.2208
_cell_angle_alpha 90.00
_cell_angle_beta 90.00
_cell_angle_gamma 90.00
_space_group_name_H-M_alt 'A m m 2'
_space_group_IT_number 38
_space_group_name_Hall 'A 2 -2'
loop_
_atom_site_label
_atom_site_type_symbol
_atom_site_fract_x
_atom_site_fract_y
_atom_site_fract_z
Cd1 Cd 0.0000 0.0000 0.0000
Ag1 Ag 0.0000 0.2487 0.2489
Ag2 Ag 0.2480 0.0000 0.6638
Ag3 Ag 0.2497 0.2483 0.4145
Ag4 Ag 0.2530 0.0000 0.1651
Ag5 Ag 0.5000 0.0000 0.3302
Ag6 Ag 0.5000 0.0000 0.8297
Ag7 Ag 0.5000 0.2493 0.5797
Pt1 Pt 0.0000 0.0000 0.4990
```

Computed powder XRD pattern of Pr3Sm5Er for Cu Kα, 1.54184 Å, from a crystal structure in Alexandria, relaxed with PBE.

Top 10 peaks for 2θ = 10–80°, sorted by position:
- 2θ 15.07, d = 5.881 Å, I = 66, hkl 0 2 0
- 2θ 23.97, d = 3.712 Å, I = 30, hkl 2 2 0
- 2θ 27.28, d = 3.269 Å, I = 29, hkl 0 2 3
- 2θ 29.37, d = 3.041 Å, I = 37, hkl 2 2 -3
- 2θ 30.41, d = 2.939 Å, I = 100, hkl 0 4 0
- 2θ 31.82, d = 2.813 Å, I = 74, hkl 3 1 -3
- 2θ 31.91, d = 2.805 Å, I = 78, hkl 3 1 1
- 2θ 34.00, d = 2.636 Å, I = 85, hkl 0 2 4
- 2θ 38.69, d = 2.327 Å, I = 90, hkl 3 3 1
- 2θ 49.99, d = 1.824 Å, I = 45, hkl 3 5 1

Structure:
```
data_Pr3Sm5Er
_chemical_formula_sum 'Pr12 Sm20 Er4'
_cell_length_a 9.9559
_cell_length_b 11.7570
_cell_length_c 12.2688
_cell_angle_alpha 90.00
_cell_angle_beta 105.89
_cell_angle_gamma 90.00
_space_group_name_H-M_alt 'C 1 2/m 1'
_space_group_IT_number 12
_space_group_name_Hall '-C 2y'
loop_
_atom_site_label
_atom_site_type_symbol
_atom_site_fract_x
_atom_site_fract_y
_atom_site_fract_z
Pr1 Pr 0.0000 0.0000 0.0000
Pr2 Pr 0.0000 0.5000 0.5000
Pr3 Pr 0.0885 0.0000 0.7318
Pr4 Pr 0.2487 0.0000 0.2483
Sm1 Sm 0.0000 0.2499 0.5000
Sm2 Sm 0.0666 0.2495 0.8693
Sm3 Sm 0.0885 0.5000 0.2625
Sm4 Sm 0.1659 0.5000 0.0154
Er1 Er 0.1716 0.0000 0.4931
```

Computed powder XRD pattern of YFe11Mo for Cu Kα, 1.54184 Å, from a crystal structure in Alexandria, relaxed with PBE.

Top 10 peaks for 2θ = 10–80°, sorted by position:
- 2θ 36.98, d = 2.431 Å, I = 26, hkl 1 0 3
- 2θ 37.28, d = 2.412 Å, I = 33, hkl 1 3 0
- 2θ 38.32, d = 2.349 Å, I = 23, hkl 2 0 0
- 2θ 42.42, d = 2.131 Å, I = 34, hkl 0 0 4
- 2θ 42.93, d = 2.107 Å, I = 100, hkl 0 4 0
- 2θ 43.10, d = 2.099 Å, I = 61, hkl 1 3 2
- 2θ 44.02, d = 2.057 Å, I = 42, hkl 2 0 2
- 2θ 44.14, d = 2.052 Å, I = 49, hkl 2 2 0
- 2θ 48.14, d = 1.890 Å, I = 39, hkl 0 4 2
- 2θ 49.29, d = 1.849 Å, I = 55, hkl 2 2 2

Structure:
```
data_YFe11Mo
_chemical_formula_sum 'Y2 Fe22 Mo2'
_cell_length_a 4.6972
_cell_length_b 8.4317
_cell_length_c 8.5228
_cell_angle_alpha 90.00
_cell_angle_beta 90.00
_cell_angle_gamma 90.00
_space_group_name_H-M_alt 'I m m 2'
_space_group_IT_number 44
_space_group_name_Hall 'I 2 -2'
loop_
_atom_site_label
_atom_site_type_symbol
_atom_site_fract_x
_atom_site_fract_y
_atom_site_fract_z
Y1 Y 0.0000 0.0000 0.0000
Fe1 Fe 0.0000 0.0000 0.3523
Fe2 Fe 0.0000 0.2802 0.4923
Fe3 Fe 0.0000 0.3576 0.9934
Fe4 Fe 0.0000 0.5000 0.2647
Fe5 Fe 0.0000 0.5000 0.7258
Fe6 Fe 0.2495 0.2493 0.2449
Mo1 Mo 0.0000 0.0000 0.6257
```

Computed powder XRD pattern of Ac4Ir3F for Cu Kα, 1.54184 Å, from a crystal structure in Alexandria, relaxed with PBE.

Top 10 peaks for 2θ = 10–80°, sorted by position:
- 2θ 12.63, d = 7.007 Å, I = 13, hkl 1 1 0
- 2θ 29.13, d = 3.066 Å, I = 100, hkl 2 0 1
- 2θ 29.79, d = 2.999 Å, I = 50, hkl 0 4 0
- 2θ 41.47, d = 2.178 Å, I = 17, hkl 0 0 2
- 2θ 41.86, d = 2.158 Å, I = 20, hkl 4 0 0
- 2θ 42.15, d = 2.144 Å, I = 75, hkl 2 4 1
- 2θ 51.89, d = 1.762 Å, I = 18, hkl 0 4 2
- 2θ 52.22, d = 1.752 Å, I = 21, hkl 4 4 0
- 2θ 68.75, d = 1.365 Å, I = 24, hkl 6 0 1
- 2θ 69.82, d = 1.347 Å, I = 18, hkl 2 8 1

Structure:
```
data_Ac4Ir3F
_chemical_formula_sum 'Ac8 Ir6 F2'
_cell_length_a 8.6325
_cell_length_b 11.9968
_cell_length_c 4.3553
_cell_angle_alpha 90.00
_cell_angle_beta 90.00
_cell_angle_gamma 90.00
_space_group_name_H-M_alt 'C m m 2'
_space_group_IT_number 35
_space_group_name_Hall 'C 2 -2'
loop_
_atom_site_label
_atom_site_type_symbol
_atom_site_fract_x
_atom_site_fract_y
_atom_site_fract_z
Ac1 Ac 0.0000 0.2503 0.0000
Ac2 Ac 0.2381 0.0000 0.5607
Ir1 Ir 0.0000 0.0000 0.0414
Ir2 Ir 0.2500 0.2500 0.4966
F1 F 0.0000 0.5000 0.8765
```

Computed powder XRD pattern of Ce3Ga9Pd2 for Cu Kα, 1.54184 Å, from a crystal structure in Alexandria, relaxed with PBE.

Top 10 peaks for 2θ = 10–80°, sorted by position:
- 2θ 34.29, d = 2.615 Å, I = 23, hkl 1 3 0
- 2θ 34.65, d = 2.588 Å, I = 22, hkl 0 3 3
- 2θ 34.83, d = 2.576 Å, I = 100, hkl 1 2 3
- 2θ 37.20, d = 2.417 Å, I = 15, hkl 1 3 2
- 2θ 41.31, d = 2.186 Å, I = 12, hkl 1 0 5
- 2θ 41.65, d = 2.168 Å, I = 33, hkl 2 0 0
- 2θ 42.89, d = 2.109 Å, I = 24, hkl 0 0 6
- 2θ 55.27, d = 1.662 Å, I = 11, hkl 2 3 3
- 2θ 61.32, d = 1.512 Å, I = 13, hkl 2 0 6
- 2θ 71.63, d = 1.317 Å, I = 12, hkl 3 2 3

Structure:
```
data_Ce3Ga9Pd2
_chemical_formula_sum 'Ce6 Ga18 Pd4'
_cell_length_a 4.3366
_cell_length_b 9.8361
_cell_length_c 12.6517
_cell_angle_alpha 90.00
_cell_angle_beta 90.00
_cell_angle_gamma 90.00
_space_group_name_H-M_alt 'I m m m'
_space_group_IT_number 71
_space_group_name_Hall '-I 2 2'
loop_
_atom_site_label
_atom_site_type_symbol
_atom_site_fract_x
_atom_site_fract_y
_atom_site_fract_z
Ce1 Ce 0.0000 0.0000 0.0000
Ce2 Ce 0.0000 0.0000 0.3161
Ga1 Ga 0.0000 0.2757 0.1321
Ga2 Ga 0.0000 0.3702 0.3340
Ga3 Ga 0.0000 0.5000 0.0000
Pd1 Pd 0.0000 0.2167 0.5000
```

Computed powder XRD pattern of KUTlO4 for Cu Kα, 1.54184 Å, from a crystal structure in Alexandria, relaxed with PBE.

Top 10 peaks for 2θ = 10–80°, sorted by position:
- 2θ 12.83, d = 6.902 Å, I = 42, hkl 0 0 2
- 2θ 21.33, d = 4.165 Å, I = 30, hkl 1 0 1
- 2θ 28.17, d = 3.168 Å, I = 100, hkl 1 0 3
- 2θ 28.90, d = 3.089 Å, I = 55, hkl 1 1 0
- 2θ 39.15, d = 2.301 Å, I = 16, hkl 0 0 6
- 2θ 41.34, d = 2.184 Å, I = 27, hkl 2 0 0
- 2θ 49.39, d = 1.845 Å, I = 23, hkl 1 1 6
- 2θ 50.77, d = 1.798 Å, I = 42, hkl 2 1 3
- 2θ 58.25, d = 1.584 Å, I = 17, hkl 2 0 6
- 2θ 79.44, d = 1.206 Å, I = 16, hkl 2 1 9

Structure:
```
data_KUTlO4
_chemical_formula_sum 'K2 U2 Tl2 O8'
_cell_length_a 4.3685
_cell_length_b 4.3685
_cell_length_c 13.8038
_cell_angle_alpha 90.00
_cell_angle_beta 90.00
_cell_angle_gamma 90.00
_space_group_name_H-M_alt 'I 4 m m'
_space_group_IT_number 107
_space_group_name_Hall 'I 4 -2'
loop_
_atom_site_label
_atom_site_type_symbol
_atom_site_fract_x
_atom_site_fract_y
_atom_site_fract_z
K1 K 0.0000 0.0000 0.0000
U1 U 0.0000 0.0000 0.6554
Tl1 Tl 0.0000 0.0000 0.3078
O1 O 0.0000 0.0000 0.5146
O2 O 0.0000 0.0000 0.7974
O3 O 0.0000 0.5000 0.1535
```

Computed powder XRD pattern of Pr2Ho4Th for Cu Kα, 1.54184 Å, from a crystal structure in Alexandria, relaxed with PBE.

Top 10 peaks for 2θ = 10–80°, sorted by position:
- 2θ 28.57, d = 3.124 Å, I = 37, hkl 1 1 0
- 2θ 30.82, d = 2.901 Å, I = 61, hkl 0 0 7
- 2θ 32.16, d = 2.783 Å, I = 100, hkl 2 0 -4
- 2θ 32.88, d = 2.724 Å, I = 100, hkl 2 0 3
- 2θ 50.53, d = 1.806 Å, I = 42, hkl 0 2 0
- 2θ 55.18, d = 1.665 Å, I = 20, hkl 2 0 -11
- 2θ 56.57, d = 1.627 Å, I = 22, hkl 2 0 10
- 2θ 60.34, d = 1.534 Å, I = 33, hkl 3 1 6
- 2θ 60.40, d = 1.533 Å, I = 17, hkl 0 2 7
- 2θ 61.17, d = 1.515 Å, I = 16, hkl 2 2 -4

Structure:
```
data_Pr2Ho4Th
_chemical_formula_sum 'Pr4 Ho8 Th2'
_cell_length_a 6.2628
_cell_length_b 3.6096
_cell_length_c 20.4256
_cell_angle_alpha 90.00
_cell_angle_beta 95.97
_cell_angle_gamma 90.00
_space_group_name_H-M_alt 'C 1 m 1'
_space_group_IT_number 8
_space_group_name_Hall 'C -2y'
loop_
_atom_site_label
_atom_site_type_symbol
_atom_site_fract_x
_atom_site_fract_y
_atom_site_fract_z
Pr1 Pr 0.0000 0.0000 0.0000
Pr2 Pr 0.0900 0.0000 0.2882
Ho1 Ho 0.2785 0.0000 0.8539
Ho2 Ho 0.3075 0.5000 0.4334
Ho3 Ho 0.3765 0.0000 0.1451
Ho4 Ho 0.4003 0.5000 0.7163
Th1 Th 0.1814 0.0000 0.5746
```

Computed powder XRD pattern of Li2AcPS for Cu Kα, 1.54184 Å, from a crystal structure in Alexandria, relaxed with PBE.

Top 10 peaks for 2θ = 10–80°, sorted by position:
- 2θ 13.70, d = 6.464 Å, I = 100, hkl 0 0 1
- 2θ 20.81, d = 4.268 Å, I = 99, hkl 1 0 0
- 2θ 25.00, d = 3.561 Å, I = 73, hkl 1 0 1
- 2θ 27.60, d = 3.232 Å, I = 32, hkl 0 0 2
- 2θ 29.60, d = 3.018 Å, I = 64, hkl 1 1 0
- 2θ 32.75, d = 2.734 Å, I = 62, hkl 1 1 1
- 2θ 34.82, d = 2.576 Å, I = 69, hkl 1 0 2
- 2θ 40.92, d = 2.206 Å, I = 43, hkl 1 1 2
- 2θ 42.36, d = 2.134 Å, I = 28, hkl 2 0 0
- 2θ 55.95, d = 1.643 Å, I = 36, hkl 2 1 2

Structure:
```
data_Li2AcPS
_chemical_formula_sum 'Li2 Ac1 P1 S1'
_cell_length_a 4.2676
_cell_length_b 4.2676
_cell_length_c 6.4637
_cell_angle_alpha 90.00
_cell_angle_beta 90.00
_cell_angle_gamma 90.00
_space_group_name_H-M_alt 'P 4 m m'
_space_group_IT_number 99
_space_group_name_Hall 'P 4 -2'
loop_
_atom_site_label
_atom_site_type_symbol
_atom_site_fract_x
_atom_site_fract_y
_atom_site_fract_z
Li1 Li 0.0000 0.5000 0.0000
Ac1 Ac 0.0000 0.0000 0.5892
P1 P 0.5000 0.5000 0.7226
S1 S 0.0000 0.0000 0.1443
```

Computed powder XRD pattern of Pm12PrTm5 for Cu Kα, 1.54184 Å, from a crystal structure in Alexandria, relaxed with PBE.

Top 10 peaks for 2θ = 10–80°, sorted by position:
- 2θ 30.86, d = 2.897 Å, I = 28, hkl 0 0 2
- 2θ 31.20, d = 2.867 Å, I = 100, hkl 3 3 1
- 2θ 31.46, d = 2.843 Å, I = 14, hkl 1 5 -1
- 2θ 31.71, d = 2.822 Å, I = 19, hkl 0 6 0
- 2θ 40.50, d = 2.227 Å, I = 7, hkl 5 1 1
- 2θ 44.83, d = 2.022 Å, I = 13, hkl 0 6 2
- 2θ 55.11, d = 1.666 Å, I = 20, hkl 3 3 3
- 2θ 56.16, d = 1.638 Å, I = 7, hkl 3 9 1
- 2θ 62.00, d = 1.497 Å, I = 9, hkl 7 5 1
- 2θ 62.27, d = 1.491 Å, I = 8, hkl 4 8 2

Structure:
```
data_Pm12PrTm5
_chemical_formula_sum 'Pm24 Pr2 Tm10'
_cell_length_a 12.1966
_cell_length_b 16.9330
_cell_length_c 5.7949
_cell_angle_alpha 90.00
_cell_angle_beta 90.02
_cell_angle_gamma 90.00
_space_group_name_H-M_alt 'C 1 2/m 1'
_space_group_IT_number 12
_space_group_name_Hall '-C 2y'
loop_
_atom_site_label
_atom_site_type_symbol
_atom_site_fract_x
_atom_site_fract_y
_atom_site_fract_z
Pm1 Pm 0.1493 0.1794 0.4959
Pm2 Pm 0.1499 0.3206 0.0039
Pm3 Pm 0.1951 0.0000 0.0434
Pm4 Pm 0.2034 0.5000 0.4545
Pr1 Pr 0.0000 0.5000 0.0000
Tm1 Tm 0.0000 0.0000 0.5000
Tm2 Tm 0.0000 0.1371 0.0000
Tm3 Tm 0.0000 0.3623 0.5000
```